[1]
U2BeB10: calculated XRD peak list (copper Kα), based on DFT lattice parameters and positions (GGA-PBE).

Principal peaks in the range 5° ≤ 2θ ≤ 70°, in order of falling intensity:
hkl  Position (°2θ)  d_spacing  Rel. int.
1 2 1  32.0  2.796  100
1 2 0  23.2  3.839  81
0 0 1  21.8  4.082  56
0 4 1  40.0  2.254  33
1 2 2  50.7  1.802  31
0 4 0  33.1  2.704  26
2 0 1  39.8  2.266  20
2 4 0  47.4  1.919  18

Crystal structure
Cell lengths 5.4503, 10.8141, 4.0819 Å; angles 90.00, 90.00, 90.00 degrees
Space group Pbam (No. 55)
Unique sites:
U: 0.1923 0.1349 0.0000 x4
Be: 0.0000 0.5000 0.5000 x2
B: 0.0196 0.3157 0.5000 x4
B: 0.1306 0.9634 0.5000 x4
B: 0.1631 0.8025 0.5000 x4
B: 0.1940 0.3893 0.1982 x8

[2]
U4Be51B: calculated XRD peak list (copper Kα), based on DFT lattice parameters and positions (GGA-PBE).

Principal peaks in the range 5° ≤ 2θ ≤ 70°, in order of falling intensity:
hkl  Position (°2θ)  d_spacing  Rel. int.
1 1 0  24.8  3.590  100
1 0 4  17.5  5.076  95
1 1 12  39.7  2.270  69
3 0 0  43.7  2.072  57
0 2 4  30.5  2.931  42
1 4 0  69.3  1.357  28
1 3 4  54.2  1.692  26
2 1 16  57.4  1.605  25

Crystal structure
Cell lengths 7.1807, 7.1807, 35.1538 Å; angles 90.00, 90.00, 120.00 degrees
Space group R-3 (No. 148, hexagonal axes)
Unique sites:
U: 0.0000 0.0000 0.1247 x6
U: 0.0000 0.0000 0.3748 x6
Be: 0.0000 0.0000 0.2504 x6
Be: 0.0000 0.0000 0.5000 x3
Be: 0.0213 0.3954 0.1565 x18
Be: 0.0206 0.6264 0.4064 x18
Be: 0.0220 0.6258 0.9068 x18
Be: 0.0285 0.4012 0.6568 x18
Be: 0.0354 0.1903 0.0477 x18
Be: 0.0374 0.1945 0.5486 x18
Be: 0.0368 0.8417 0.2990 x18
Be: 0.0375 0.8425 0.7984 x18
B: 0.0000 0.0000 0.0000 x3

[3]
Be3V2B2: calculated XRD peak list (copper Kα), based on DFT lattice parameters and positions (GGA-PBE).

Principal peaks in the range 5° ≤ 2θ ≤ 70°, in order of falling intensity:
hkl  Position (°2θ)  d_spacing  Rel. int.
0 2 0  11.8  7.483  100
1 3 1  47.5  1.914  33
1 3 0  35.8  2.506  27
0 6 1  47.6  1.909  23
0 0 1  30.1  2.966  18
1 1 1  44.1  2.053  18
0 6 0  36.0  2.494  15
1 5 1  53.8  1.704  10

Crystal structure
Cell lengths 2.8976, 14.9667, 2.9661 Å; angles 90.00, 90.00, 90.00 degrees
Space group Cmmm (No. 65)
Unique sites:
Be: 0.0000 0.0000 0.0000 x2
Be: 0.0000 0.4188 0.5000 x4
V: 0.0000 0.1706 0.0000 x4
B: 0.0000 0.2834 0.5000 x4

[4]
BeV4B2: calculated XRD peak list (copper Kα), based on DFT lattice parameters and positions (GGA-PBE).

Principal peaks in the range 5° ≤ 2θ ≤ 70°, in order of falling intensity:
hkl  Position (°2θ)  d_spacing  Rel. int.
0 1 5  36.6  2.454  100
1 0 10  48.2  1.889  41
1 1 0  57.1  1.614  37
1 0 7  40.6  2.221  35
1 0 4  35.0  2.562  16
0 0 12  42.3  2.135  14
0 1 2  32.8  2.731  14
2 0 5  69.7  1.348  13

Crystal structure
Cell lengths 3.2277, 3.2277, 25.6156 Å; angles 90.00, 90.00, 120.00 degrees
Space group R-3m (No. 166, hexagonal axes)
Unique sites:
Be: 0.0000 0.0000 0.0000 x3
V: 0.0000 0.0000 0.2018 x6
V: 0.0000 0.0000 0.3846 x6
B: 0.0000 0.0000 0.0922 x6

[5]
Be2BW2: calculated XRD peak list (copper Kα), based on DFT lattice parameters and positions (GGA-PBE).

Principal peaks in the range 5° ≤ 2θ ≤ 70°, in order of falling intensity:
hkl  Position (°2θ)  d_spacing  Rel. int.
2 1 2  45.0  2.016  100
0 0 2  25.7  3.466  94
2 1 0  36.2  2.479  79
2 0 2  41.7  2.164  53
2 0 0  32.3  2.771  46
2 1 4  65.7  1.420  29
4 1 0  70.0  1.344  21
0 0 4  52.8  1.733  17

Crystal structure
Cell lengths 5.5426, 5.5426, 6.9319 Å; angles 90.00, 90.00, 90.00 degrees
Space group P4/mnc (No. 128)
Unique sites:
Be: 0.1259 0.3741 0.2500 x8
B: 0.0000 0.0000 0.2504 x4
W: 0.1807 0.6807 0.0000 x8

[6]
Be3BW: calculated XRD peak list (copper Kα), based on DFT lattice parameters and positions (GGA-PBE).

Principal peaks in the range 5° ≤ 2θ ≤ 70°, in order of falling intensity:
hkl  Position (°2θ)  d_spacing  Rel. int.
2 0 0  10.0  8.855  100
2 0 1  31.8  2.818  68
1 1 0  29.1  3.066  59
3 1 -1  41.7  2.166  58
3 1 1  45.5  1.994  46
6 0 0  30.3  2.952  38
5 1 0  38.5  2.338  37
4 0 0  20.1  4.428  35

Crystal structure
Cell lengths 17.9948, 3.1128, 3.2074 Å; angles 90.00, 100.20, 90.00 degrees
Space group C2/m (No. 12)
Unique sites:
Be: 0.0291 0.0000 0.2788 x4
Be: 0.2005 0.0000 0.9500 x4
Be: 0.2011 0.5000 0.4511 x4
B: 0.1340 0.0000 0.3839 x4
W: 0.0858 0.5000 0.8357 x4

[7]
BeB3W4: calculated XRD peak list (copper Kα), based on DFT lattice parameters and positions (GGA-PBE).

Principal peaks in the range 5° ≤ 2θ ≤ 70°, in order of falling intensity:
hkl  Position (°2θ)  d_spacing  Rel. int.
1 0 2  35.4  2.535  100
1 1 1  41.7  2.166  96
0 1 3  42.4  2.130  62
0 1 1  29.9  2.990  57
1 1 5  68.9  1.363  31
1 2 2  69.6  1.350  29
0 0 4  42.1  2.147  26
0 2 0  57.8  1.595  15

Crystal structure
Cell lengths 3.1419, 3.1901, 8.5866 Å; angles 90.00, 90.00, 90.00 degrees
Space group Pmm2 (No. 25)
Unique sites:
Be: 0.0000 0.0000 0.0000 x1
B: 0.0000 0.5000 0.5036 x1
B: 0.5000 0.0000 0.1294 x1
B: 0.5000 0.5000 0.6250 x1
W: 0.0000 0.0000 0.7078 x1
W: 0.0000 0.5000 0.2125 x1
W: 0.5000 0.0000 0.4207 x1
W: 0.5000 0.5000 0.9142 x1

[8]
Bi2B2BrO6: calculated XRD peak list (copper Kα), based on DFT lattice parameters and positions (GGA-PBE).

Principal peaks in the range 5° ≤ 2θ ≤ 70°, in order of falling intensity:
hkl  Position (°2θ)  d_spacing  Rel. int.
1 0 -1  18.5  4.797  100
0 1 1  24.9  3.569  51
1 1 0  30.2  2.956  50
1 -1 1  27.3  3.263  41
1 -2 0  32.3  2.770  32
2 -1 0  34.6  2.592  31
-1 1 2  32.2  2.779  29
0 1 -2  31.8  2.817  26

Crystal structure
Cell lengths 5.5933, 5.6071, 6.5222 Å; angles 91.85, 111.68, 111.00 degrees
Space group P-1 (No. 2)
Unique sites:
Bi: 0.1615 0.3141 0.2102 x2
B: 0.2158 0.3147 0.7905 x2
Br: 0.5000 0.0000 0.5000 x1
O: 0.1704 0.5105 0.8896 x2
O: 0.1811 0.0985 0.8931 x2
O: 0.3165 0.3575 0.6268 x2

What is the formula in the fourth record?
BeV4B2